No. 1
Tl2CuMo: calculated powder diffraction line list (a wavelength of 1.5418 Å), based on a cell relaxed with PBE.

Cell and atoms:
```
data_Tl2CuMo
_chemical_formula_sum 'Tl2 Cu1 Mo1'
_space_group_name_H-M_alt 'P 1'
_space_group_IT_number 1
_space_group_name_Hall 'P 1'
_cell_length_a 5.061
_cell_length_b 5.061
_cell_length_c 3.095
_cell_angle_alpha 90.00
_cell_angle_beta 90.00
_cell_angle_gamma 104.07
loop_
_atom_site_label
_atom_site_type_symbol
_atom_site_fract_x
_atom_site_fract_y
_atom_site_fract_z
Tl1 Tl 0.000 0.500 0.000
Tl2 Tl 0.500 0.000 0.000
Cu1 Cu 0.000 0.000 0.500
Mo1 Mo 0.500 0.500 0.500
```

Principal peaks in the range 15 to 90 degrees two-theta, in order of rising 2θ:
two_theta	I (rel.)
22.28	28
36.61	100
36.75	99
41.12	72
45.46	27
47.26	17
62.96	41
71.89	28
72.16	28
78.18	33

***

No. 2
CuN: calculated powder diffraction line list (a wavelength of 1.5418 Å), based on a cell relaxed with PBE.

Cell and atoms:
```
data_CuN
_chemical_formula_sum 'Cu2 N2'
_space_group_name_H-M_alt 'P 1'
_space_group_IT_number 1
_space_group_name_Hall 'P 1'
_cell_length_a 2.946
_cell_length_b 2.946
_cell_length_c 6.119
_cell_angle_alpha 101.87
_cell_angle_beta 101.87
_cell_angle_gamma 57.40
loop_
_atom_site_label
_atom_site_type_symbol
_atom_site_fract_x
_atom_site_fract_y
_atom_site_fract_z
Cu1 Cu 0.118 0.118 0.338
Cu2 Cu 0.882 0.882 0.662
N1 N 0.472 0.472 0.900
N2 N 0.528 0.528 0.100
```

Principal peaks in the range 15 to 90 degrees two-theta, in order of rising 2θ:
two_theta	I (rel.)
30.04	11
35.37	49
36.44	28
41.22	100
42.20	19
44.97	52
45.76	21
56.07	17
63.24	12
66.05	14

***

No. 3
Cu10N3: calculated powder diffraction line list (a wavelength of 1.5418 Å), based on a cell relaxed with PBE.

Cell and atoms:
```
data_Cu10N3
_chemical_formula_sum 'Cu10 N3'
_space_group_name_H-M_alt 'P 1'
_space_group_IT_number 1
_space_group_name_Hall 'P 1'
_cell_length_a 5.410
_cell_length_b 5.410
_cell_length_c 6.628
_cell_angle_alpha 90.00
_cell_angle_beta 90.00
_cell_angle_gamma 120.00
loop_
_atom_site_label
_atom_site_type_symbol
_atom_site_fract_x
_atom_site_fract_y
_atom_site_fract_z
Cu1 Cu 0.000 0.000 0.000
Cu2 Cu 0.000 0.500 0.000
Cu3 Cu 0.163 0.327 0.328
Cu4 Cu 0.163 0.837 0.328
Cu5 Cu 0.327 0.163 0.672
Cu6 Cu 0.500 0.000 0.000
Cu7 Cu 0.500 0.500 0.000
Cu8 Cu 0.673 0.837 0.328
Cu9 Cu 0.837 0.163 0.672
Cu10 Cu 0.837 0.673 0.672
N1 N 0.000 0.000 0.500
N2 N 0.333 0.667 0.172
N3 N 0.667 0.333 0.828
```

Principal peaks in the range 15 to 90 degrees two-theta, in order of rising 2θ:
two_theta	I (rel.)
18.94	8
23.25	30
33.11	7
40.85	100
47.53	59
53.56	10
69.49	33
74.38	4
83.87	32
88.53	11

***

No. 4
Nb4CuN: calculated powder diffraction line list (a wavelength of 1.5418 Å), based on a cell relaxed with PBE.

Cell and atoms:
```
data_Nb4CuN
_chemical_formula_sum 'Nb8 Cu2 N2'
_space_group_name_H-M_alt 'P 1'
_space_group_IT_number 1
_space_group_name_Hall 'P 1'
_cell_length_a 6.923
_cell_length_b 4.864
_cell_length_c 6.371
_cell_angle_alpha 90.00
_cell_angle_beta 112.98
_cell_angle_gamma 90.00
loop_
_atom_site_label
_atom_site_type_symbol
_atom_site_fract_x
_atom_site_fract_y
_atom_site_fract_z
Nb1 Nb 0.144 0.238 0.310
Nb2 Nb 0.144 0.262 0.810
Nb3 Nb 0.252 0.710 0.110
Nb4 Nb 0.252 0.790 0.610
Nb5 Nb 0.748 0.210 0.390
Nb6 Nb 0.748 0.290 0.890
Nb7 Nb 0.856 0.738 0.190
Nb8 Nb 0.856 0.762 0.690
Cu1 Cu 0.500 0.000 0.000
Cu2 Cu 0.500 0.500 0.500
N1 N 0.000 0.000 0.000
N2 N 0.000 0.500 0.500
```

Principal peaks in the range 15 to 90 degrees two-theta, in order of rising 2θ:
two_theta	I (rel.)
28.01	24
32.03	23
33.63	46
35.75	93
36.96	33
37.46	100
42.89	28
46.65	31
47.00	38
58.07	22

***

No. 5
Pa2NbCuN6: calculated powder diffraction line list (a wavelength of 1.5418 Å), based on a cell relaxed with PBE.

Cell and atoms:
```
data_Pa2NbCuN6
_chemical_formula_sum 'Pa2 Nb1 Cu1 N6'
_space_group_name_H-M_alt 'P 1'
_space_group_IT_number 1
_space_group_name_Hall 'P 1'
_cell_length_a 5.301
_cell_length_b 5.301
_cell_length_c 4.841
_cell_angle_alpha 90.00
_cell_angle_beta 90.00
_cell_angle_gamma 90.00
loop_
_atom_site_label
_atom_site_type_symbol
_atom_site_fract_x
_atom_site_fract_y
_atom_site_fract_z
Pa1 Pa 0.000 0.500 0.000
Pa2 Pa 0.500 0.000 0.000
Nb1 Nb 0.000 0.000 0.576
Cu1 Cu 0.500 0.500 0.628
N1 N 0.000 0.000 0.181
N2 N 0.249 0.249 0.742
N3 N 0.249 0.751 0.742
N4 N 0.500 0.500 0.193
N5 N 0.751 0.249 0.742
N6 N 0.751 0.751 0.742
```

Principal peaks in the range 15 to 90 degrees two-theta, in order of rising 2θ:
two_theta	I (rel.)
18.33	30
23.74	17
30.15	100
33.82	39
38.73	17
44.56	21
48.58	19
51.10	22
58.24	32
68.02	20

***

No. 6
CuNi3N: calculated powder diffraction line list (a wavelength of 1.5418 Å), based on a cell relaxed with PBE.

Cell and atoms:
```
data_CuNi3N
_chemical_formula_sum 'Cu2 Ni6 N2'
_space_group_name_H-M_alt 'P 1'
_space_group_IT_number 1
_space_group_name_Hall 'P 1'
_cell_length_a 5.283
_cell_length_b 4.278
_cell_length_c 4.571
_cell_angle_alpha 90.00
_cell_angle_beta 90.00
_cell_angle_gamma 90.00
loop_
_atom_site_label
_atom_site_type_symbol
_atom_site_fract_x
_atom_site_fract_y
_atom_site_fract_z
Cu1 Cu 0.250 0.012 0.000
Cu2 Cu 0.750 0.988 0.000
Ni1 Ni 0.000 0.000 0.518
Ni2 Ni 0.000 0.500 0.178
Ni3 Ni 0.250 0.503 0.697
Ni4 Ni 0.500 0.000 0.518
Ni5 Ni 0.500 0.500 0.178
Ni6 Ni 0.750 0.497 0.697
N1 N 0.250 0.737 0.365
N2 N 0.750 0.263 0.365
```

Principal peaks in the range 15 to 90 degrees two-theta, in order of rising 2θ:
two_theta	I (rel.)
33.32	1
39.40	20
42.25	24
44.95	100
59.14	16
71.46	16
79.15	16
84.81	2
86.66	16
88.52	12

***

Please write out number 5 again, unchanged.
Pa2NbCuN6: calculated powder diffraction line list (a wavelength of 1.5418 Å), based on a cell relaxed with PBE.

Cell and atoms:
```
data_Pa2NbCuN6
_chemical_formula_sum 'Pa2 Nb1 Cu1 N6'
_space_group_name_H-M_alt 'P 1'
_space_group_IT_number 1
_space_group_name_Hall 'P 1'
_cell_length_a 5.301
_cell_length_b 5.301
_cell_length_c 4.841
_cell_angle_alpha 90.00
_cell_angle_beta 90.00
_cell_angle_gamma 90.00
loop_
_atom_site_label
_atom_site_type_symbol
_atom_site_fract_x
_atom_site_fract_y
_atom_site_fract_z
Pa1 Pa 0.000 0.500 0.000
Pa2 Pa 0.500 0.000 0.000
Nb1 Nb 0.000 0.000 0.576
Cu1 Cu 0.500 0.500 0.628
N1 N 0.000 0.000 0.181
N2 N 0.249 0.249 0.742
N3 N 0.249 0.751 0.742
N4 N 0.500 0.500 0.193
N5 N 0.751 0.249 0.742
N6 N 0.751 0.751 0.742
```

Principal peaks in the range 15 to 90 degrees two-theta, in order of rising 2θ:
two_theta	I (rel.)
18.33	30
23.74	17
30.15	100
33.82	39
38.73	17
44.56	21
48.58	19
51.10	22
58.24	32
68.02	20